Diffraction record for Sm3Y8Er4. The XRD peak list is calculated, not measured: it uses a cell relaxed with GGA-PBE and λ = 1.5418 Å (Cu Kα).

Peak list (12 most intense, 10° ≤ 2θ ≤ 80°, by angle)
2theta, Rel. int.
20.63, 22
27.87, 43
30.65, 100
30.75, 49
31.89, 20
38.83, 12
41.92, 83
54.61, 18
62.41, 16
63.83, 11
66.66, 29
71.03, 11

Unit cell a=9.2825 b=9.2825 c=6.7424 alpha=111.27 beta=111.27 gamma=87.23
Fractional coordinates of all 15 atoms:
1 Sm 0.0000 0.0000 0.0000
2 Sm 0.0000 0.5000 0.0000
3 Sm 0.5000 0.0000 0.0000
4 Y 0.1439 0.8561 0.5000
5 Y 0.2298 0.2298 0.9518
6 Y 0.2422 0.2422 0.4843
7 Y 0.2498 0.7502 0.0000
8 Y 0.7502 0.2498 0.0000
9 Y 0.7578 0.7578 0.5157
10 Y 0.7702 0.7702 0.0482
11 Y 0.8561 0.1439 0.5000
12 Er 0.0000 0.5000 0.5000
13 Er 0.5000 0.0000 0.5000
14 Er 0.5000 0.5000 0.0000
15 Er 0.5000 0.5000 0.5000